Li2VOF4: computed X-ray powder pattern (λ = 1.5418 Å (Cu Kα)), based on a cell relaxed with PBE+U.
Intensities are scaled so that the largest is 100.

Cell and atoms:
```
data_Li2VOF4
_chemical_formula_sum 'Li4 V2 O2 F8'
_space_group_name_H-M_alt 'P 1'
_space_group_IT_number 1
_cell_length_a 3.702
_cell_length_b 10.173
_cell_length_c 5.303
_cell_angle_alpha 90.00
_cell_angle_beta 109.84
_cell_angle_gamma 90.00
loop_
_space_group_symop_operation_xyz
'x,y,z'
loop_
_atom_site_label
_atom_site_fract_x
_atom_site_fract_y
_atom_site_fract_z
_atom_site_occupancy
Li1 0.140 0.000 0.273 1
Li2 0.179 0.325 0.371 1
Li3 0.821 0.825 0.629 1
Li4 0.860 0.500 0.727 1
V1 0.183 0.634 0.272 1
V2 0.817 0.134 0.728 1
O1 0.337 0.143 0.688 1
O2 0.663 0.643 0.312 1
F1 0.044 0.198 0.086 1
F2 0.057 0.465 0.105 1
F3 0.229 0.813 0.452 1
F4 0.300 0.527 0.606 1
F5 0.700 0.027 0.394 1
F6 0.771 0.313 0.548 1
F7 0.943 0.965 0.895 1
F8 0.956 0.698 0.914 1
```

Principal peaks in the range 5 to 70 degrees two-theta, by intensity:
- 2θ = 19.82°, 4.479 Å, intensity 100, (0 1 1)
- 2θ = 17.43°, 5.087 Å, intensity 93, (0 2 0)
- 2θ = 25.76°, 3.459 Å, intensity 54, (1 0 -1)
- 2θ = 27.07°, 3.294 Å, intensity 43, (1 1 0)
- 2θ = 31.91°, 2.804 Å, intensity 36, (0 3 1)
- 2θ = 49.23°, 1.851 Å, intensity 30, (2 0 -1)
- 2θ = 25.58°, 3.482 Å, intensity 28, (1 0 0)
- 2θ = 48.31°, 1.884 Å, intensity 25, (0 5 1)
- 2θ = 40.27°, 2.239 Å, intensity 24, (0 2 2)
- 2θ = 37.12°, 2.422 Å, intensity 21, (0 1 2)